1.
Starting from a DFT-relaxed cell (PBE, Alexandria), the powder X-ray diffraction pattern of Pr4Dy4Ho was calculated for Cu Kα.
Lines closer than 0.1° are merged.

Atomic structure:
```
data_Pr4Dy4Ho
_cell_length_a 8.093
_cell_length_b 8.093
_cell_length_c 8.093
_cell_angle_alpha 95.69
_cell_angle_beta 95.69
_cell_angle_gamma 143.29
_space_group_name_H-M_alt 'P 1'
_space_group_IT_number 1
loop_
_space_group_symop_operation_xyz
'x,y,z'
loop_
_atom_site_label
_atom_site_type_symbol
_atom_site_fract_x
_atom_site_fract_y
_atom_site_fract_z
_atom_site_occupancy
Pr1 Pr 0.167 0.167 0.333 1
Pr2 Pr 0.167 0.833 0.000 1
Pr3 Pr 0.833 0.167 0.000 1
Pr4 Pr 0.833 0.833 0.667 1
Dy1 Dy 0.165 0.500 0.665 1
Dy2 Dy 0.500 0.165 0.665 1
Dy3 Dy 0.500 0.835 0.335 1
Dy4 Dy 0.835 0.500 0.335 1
Ho1 Ho 0.500 0.500 0.000 1
```

Top 8 peaks for 2θ from 5° to 70°, sorted by position:
two_theta, intensity
30.3, 100
35.0, 34
35.2, 17
50.4, 12
50.5, 24
59.9, 29
60.2, 14
63.0, 12


2.
Starting from a DFT-relaxed cell (PBE, Alexandria), the powder X-ray diffraction pattern of Cs3Pm2HfTe6 was calculated for Cu Kα.
Lines closer than 0.1° are merged.

Atomic structure:
```
data_Cs3Pm2HfTe6
_cell_length_a 7.790
_cell_length_b 7.790
_cell_length_c 9.328
_cell_angle_alpha 98.02
_cell_angle_beta 98.02
_cell_angle_gamma 120.00
_space_group_name_H-M_alt 'P 1'
_space_group_IT_number 1
loop_
_space_group_symop_operation_xyz
'x,y,z'
loop_
_atom_site_label
_atom_site_type_symbol
_atom_site_fract_x
_atom_site_fract_y
_atom_site_fract_z
_atom_site_occupancy
Cs1 Cs 0.000 0.000 0.000 1
Cs2 Cs 0.326 0.674 0.000 1
Cs3 Cs 0.674 0.326 0.000 1
Pm1 Pm 0.166 0.834 0.500 1
Pm2 Pm 0.834 0.166 0.500 1
Hf1 Hf 0.500 0.500 0.500 1
Te1 Te 0.125 0.437 0.310 1
Te2 Te 0.253 0.253 0.693 1
Te3 Te 0.437 0.125 0.310 1
Te4 Te 0.563 0.875 0.690 1
Te5 Te 0.747 0.747 0.307 1
Te6 Te 0.875 0.563 0.690 1
```

Top 10 peaks for 2θ from 5° to 70°, sorted by position:
two_theta, intensity
9.9, 17
26.4, 100
32.8, 10
35.3, 33
40.1, 35
48.7, 18
54.5, 9
58.1, 8
64.8, 14
69.7, 8


3.
Starting from a DFT-relaxed cell (PBE, Alexandria), the powder X-ray diffraction pattern of Ca2La2Ti3CuO12 was calculated for Cu Kα.
Lines closer than 0.1° are merged.

Atomic structure:
```
data_Ca2La2Ti3CuO12
_cell_length_a 3.888
_cell_length_b 3.888
_cell_length_c 15.906
_cell_angle_alpha 90.00
_cell_angle_beta 90.00
_cell_angle_gamma 90.00
_space_group_name_H-M_alt 'P 1'
_space_group_IT_number 1
loop_
_space_group_symop_operation_xyz
'x,y,z'
loop_
_atom_site_label
_atom_site_type_symbol
_atom_site_fract_x
_atom_site_fract_y
_atom_site_fract_z
_atom_site_occupancy
Ca1 Ca 0.000 0.000 0.121 1
Ca2 Ca 0.000 0.000 0.879 1
La1 La 0.000 0.000 0.384 1
La2 La 0.000 0.000 0.616 1
Ti1 Ti 0.500 0.500 0.000 1
Ti2 Ti 0.500 0.500 0.246 1
Ti3 Ti 0.500 0.500 0.754 1
Cu1 Cu 0.500 0.500 0.500 1
O1 O 0.000 0.500 0.000 1
O2 O 0.000 0.500 0.246 1
O3 O 0.000 0.500 0.500 1
O4 O 0.000 0.500 0.754 1
O5 O 0.500 0.000 0.000 1
O6 O 0.500 0.000 0.246 1
O7 O 0.500 0.000 0.500 1
O8 O 0.500 0.000 0.754 1
O9 O 0.500 0.500 0.122 1
O10 O 0.500 0.500 0.366 1
O11 O 0.500 0.500 0.634 1
O12 O 0.500 0.500 0.878 1
```

Top 10 peaks for 2θ from 5° to 70°, sorted by position:
two_theta, intensity
5.6, 100
23.6, 13
32.2, 89
32.6, 44
39.9, 22
45.6, 17
46.7, 35
57.2, 18
57.9, 32
67.4, 18